Record 1
The following is a calculated X-ray diffraction stick pattern of Dy9Y2Tm3. It was derived from a DFT-relaxed cell (PBE, Alexandria), using Cu Kα X-rays.

Peak list (10 most intense, 5° ≤ 2θ ≤ 70°, sorted by position)
- 2θ = 30.20°, rel. 556
- 2θ = 31.01°, rel. 594
- 2θ = 31.61°, rel. 1000
- 2θ = 31.70°, rel. 978
- 2θ = 32.05°, rel. 271
- 2θ = 32.46°, rel. 339
- 2θ = 33.21°, rel. 559
- 2θ = 33.52°, rel. 854
- 2θ = 34.18°, rel. 330
- 2θ = 58.70°, rel. 313

Structure:
```
14
Lattice="6.3389 0.0000 0.0000 -2.1654 8.4642 0.0000 -2.3904 -3.2151 8.2762" Properties=species:S:1:pos:R:3 pbc="T T T"
Dy 0.0000 0.0000 0.0000
Dy -2.0275 2.9854 3.3787
Dy -2.7052 5.7860 5.3710
Dy -0.0240 3.5967 0.6311
Dy -0.5223 0.9174 6.0694
Dy 0.4989 4.2307 5.0452
Dy 3.1916 1.8489 0.2654
Dy 3.0880 5.1583 1.1125
Dy 2.6626 2.3301 6.3678
Y -0.5912 6.3853 2.6724
Y 1.2922 1.3486 3.1487
Tm -1.3974 3.8524 7.9676
Tm 2.6461 -0.9340 5.7749
Tm 4.5261 -0.3703 2.8982
```



Record 2
The following is a calculated X-ray diffraction stick pattern of CeY6Er5. It was derived from a DFT-relaxed cell (PBE, Alexandria), using Cu Kα X-rays.

Peak list (10 most intense, 5° ≤ 2θ ≤ 70°, sorted by position)
- 2θ = 15.30°, rel. 96
- 2θ = 29.54°, rel. 64
- 2θ = 30.88°, rel. 1000
- 2θ = 35.81°, rel. 503
- 2θ = 39.15°, rel. 31
- 2θ = 51.54°, rel. 354
- 2θ = 54.09°, rel. 26
- 2θ = 61.29°, rel. 209
- 2θ = 61.32°, rel. 209
- 2θ = 64.35°, rel. 120

Structure:
```
12
Lattice="3.0724 -5.3174 0.0000 3.0724 5.3174 0.0000 -2.0413 0.0000 11.5804" Properties=species:S:1:pos:R:3 pbc="T T T"
Ce 0.0000 0.0000 0.0000
Y 1.0195 1.7622 2.8946
Y -0.0060 0.0000 8.6831
Y 1.0195 -1.7622 2.8946
Y 3.0839 1.7622 8.6858
Y 4.1094 0.0000 2.8973
Y 3.0839 -1.7622 8.6858
Er 2.0517 3.5370 5.7902
Er 3.0724 1.7720 0.0000
Er 2.0517 0.0000 5.7902
Er 3.0724 -1.7720 0.0000
Er 2.0517 -3.5370 5.7902
```